Computed powder XRD pattern
Compound: K2ErPCO7
Radiation: Cu Kα (λ = 1.5418 Å)
Structure: a structure optimized by DFT (GGA-PBE)
Lines closer than 0.1° are merged.

Structural model:
abc: 5.774 7.122 9.854
angles: 90.00 92.00 90.00
Space group P2_1/m (No. 11)
Asymmetric unit:
K  0.244  0.012  0.227
Er  0.222  0.250  0.636
P  0.289  0.750  0.571
C  0.271  0.250  0.913
O  0.065  0.250  0.850
O  0.147  0.750  0.433
O  0.230  0.569  0.651
O  0.299  0.250  0.040
O  0.446  0.250  0.458
O  0.448  0.250  0.830

The 8 most intense peaks (5° ≤ 2θ ≤ 70°), by intensity:
two_theta  d (Å)  intensity  index
9.0  9.848  100  0 0 1
31.0  2.884  60  2 0 0
15.4  5.771  57  0 1 1
19.8  4.484  48  1 1 0
24.2  3.683  35  1 0 2
30.7  2.911  30  1 2 -1
23.3  3.812  25  1 0 -2
25.0  3.561  21  0 2 0